Na3VIO13: simulated powder diffraction line list (copper Kα), based on a cell relaxed with PBE+U.
Peak positions follow from Bragg's law for the DFT cell and can differ from measured ones.

Peak list (10 most intense, 10° ≤ 2θ ≤ 90°, most intense first)
| 2theta | d_spacing | intensity | h k l |
| --- | --- | --- | --- |
| 12.2 | 7.245 | 100 | 0 1 -1 |
| 10.8 | 8.168 | 91 | 0 1 0 |
| 16.7 | 5.322 | 89 | 1 0 -1 |
| 18.1 | 4.894 | 65 | 1 -1 0 |
| 33.5 | 2.678 | 56 | 1 -2 3 |
| 24.9 | 3.570 | 49 | 0 2 1 |
| 14.6 | 6.075 | 49 | 1 0 0 |
| 37.0 | 2.429 | 43 | 2 2 0 |
| 23.4 | 3.803 | 39 | 1 -1 2 |
| 28.9 | 3.090 | 37 | 1 0 -3 |

Structural model:
```
data_Na3VIO13
_chemical_formula_sum 'Na6 V2 I2 O26'
_cell_length_a 6.077
_cell_length_b 8.353
_cell_length_c 10.851
_cell_angle_alpha 102.05
_cell_angle_beta 91.31
_cell_angle_gamma 90.20
_symmetry_space_group_name_H-M 'P -1'
_symmetry_Int_Tables_number 2
_symmetry_space_group_name_Hall '-P 1'
loop_
_atom_site_label
_atom_site_type_symbol
_atom_site_fract_x
_atom_site_fract_y
_atom_site_fract_z
_atom_site_occupancy
Na1 Na 0.108 0.222 0.060 1
Na2 Na 0.150 0.117 0.346 1
Na3 Na 0.204 0.460 0.667 1
V1 V 0.425 0.817 0.048 1
I1 I 0.349 0.871 0.772 1
O1 O 0.061 0.783 0.439 1
O2 O 0.108 0.726 0.759 1
O3 O 0.182 0.714 0.061 1
O4 O 0.202 0.015 0.695 1
O5 O 0.211 0.570 0.181 1
O6 O 0.232 0.422 0.438 1
O7 O 0.251 0.827 0.427 1
O8 O 0.281 0.983 0.945 1
O9 O 0.386 0.987 0.193 1
O10 O 0.390 0.301 0.894 1
O11 O 0.401 0.561 0.215 1
O12 O 0.489 0.756 0.626 1
O13 O 0.491 0.263 0.123 1
```

Li9Mn2Co5O16: simulated powder diffraction line list (copper Kα), based on a cell relaxed with PBE+U.
Peak positions follow from Bragg's law for the DFT cell and can differ from measured ones.

Peak list (10 most intense, 10° ≤ 2θ ≤ 90°, most intense first)
| 2theta | d_spacing | intensity | h k l |
| --- | --- | --- | --- |
| 18.4 | 4.811 | 100 | 1 0 1 |
| 42.5 | 2.128 | 30 | 1 -2 1 |
| 44.3 | 2.046 | 27 | 1 1 5 |
| 44.4 | 2.041 | 26 | 2 1 -2 |
| 35.3 | 2.543 | 16 | 0 2 0 |
| 62.9 | 1.477 | 15 | 2 -1 6 |
| 36.4 | 2.469 | 13 | 0 1 4 |
| 36.5 | 2.460 | 12 | 1 1 -3 |
| 58.4 | 1.579 | 9 | 3 1 -1 |
| 37.7 | 2.389 | 8 | 1 2 1 |

Structural model:
```
data_Li9Mn2Co5O16
_chemical_formula_sum 'Li9 Mn2 Co5 O16'
_cell_length_a 5.067
_cell_length_b 5.136
_cell_length_c 11.179
_cell_angle_alpha 86.26
_cell_angle_beta 80.68
_cell_angle_gamma 82.31
_symmetry_space_group_name_H-M 'P 1'
_symmetry_Int_Tables_number 1
_symmetry_space_group_name_Hall 'P 1'
loop_
_atom_site_label
_atom_site_type_symbol
_atom_site_fract_x
_atom_site_fract_y
_atom_site_fract_z
_atom_site_occupancy
Li1 Li 0.000 0.000 0.000 1
Li2 Li 0.062 0.753 0.438 1
Li3 Li 0.189 0.236 0.313 1
Li4 Li 0.304 0.768 0.182 1
Li5 Li 0.426 0.235 0.060 1
Li6 Li 0.568 0.746 0.941 1
Li7 Li 0.690 0.255 0.816 1
Li8 Li 0.817 0.751 0.692 1
Li9 Li 0.936 0.241 0.564 1
Mn1 Mn 0.372 0.497 0.628 1
Mn2 Mn 0.751 0.999 0.247 1
Co1 Co 0.127 0.495 0.874 1
Co2 Co 0.248 0.997 0.754 1
Co3 Co 0.500 0.996 0.501 1
Co4 Co 0.625 0.498 0.375 1
Co5 Co 0.886 0.503 0.117 1
O1 O 0.043 0.390 0.723 1
O2 O 0.066 0.127 0.163 1
O3 O 0.168 0.891 0.600 1
O4 O 0.210 0.599 0.026 1
O5 O 0.305 0.376 0.470 1
O6 O 0.320 0.150 0.895 1
O7 O 0.425 0.882 0.345 1
O8 O 0.450 0.606 0.782 1
O9 O 0.562 0.355 0.226 1
O10 O 0.574 0.103 0.659 1
O11 O 0.660 0.872 0.105 1
O12 O 0.698 0.617 0.527 1
O13 O 0.810 0.394 0.961 1
O14 O 0.830 0.114 0.403 1
O15 O 0.934 0.646 0.281 1
O16 O 0.952 0.848 0.843 1
```